This entry pairs a crystal structure of TcPb2O4F with its simulated powder XRD pattern. Radiation: Cu Kα (weighted mean of Kα1 and Kα2). Structure: a crystal structure in Alexandria, relaxed with PBE.
No peak broadening, texture or thermal motion is included.

Largest 6 diffraction maxima, by angle, 2θ = 5–70°:
- 3.681 Å, I = 59
- 3.283 Å, I = 57
- 3.205 Å, I = 46
- 2.778 Å, I = 71
- 2.276 Å, I = 100
- 2.071 Å, I = 42

Crystal structure
```
8
Lattice="5.050 -1.711 0.000 5.050 1.711 0.000 -3.349 0.000 7.186" Properties=species:S:1:pos:R:3 pbc="T T T"
Tc 0.000 0.000 0.000
Pb -0.776 0.000 5.331
Pb 7.527 0.000 1.856
O 0.600 0.000 1.725
O 3.811 0.000 0.344
O 2.941 0.000 6.842
O 6.152 0.000 5.461
F 3.376 0.000 3.593
```